No. 1
This entry pairs a crystal structure of CrCo3 with its computed XRD peak list. Radiation: a wavelength of 1.5418 Å. Structure: a DFT-relaxed cell (PBE, the Materials Project).
Kinematic intensities with the Lorentz-polarization factor, no thermal factor.

Atomic structure:
```
4
Lattice="3.4815 0.0000 0.0000 0.0000 3.4815 0.0000 0.0000 0.0000 3.4815" Properties=species:S:1:pos:R:3 pbc="T T T"
Cr 0.0000 0.0000 0.0000
Co 0.0000 1.7408 1.7408
Co 1.7408 0.0000 1.7408
Co 1.7408 1.7408 0.0000
```

The 3 most intense peaks (15° ≤ 2θ ≤ 90°), by angle:
Position (°2θ)	I_rel
45.1	100
52.6	46
77.6	26

=====

No. 2
This entry pairs a crystal structure of Cr3Co2 with its computed XRD peak list. Radiation: a wavelength of 1.5418 Å. Structure: a DFT-relaxed cell (PBE, the Materials Project).
Kinematic intensities with the Lorentz-polarization factor, no thermal factor.

Atomic structure:
```
30
Lattice="6.0740 -6.1491 0.0000 6.0740 6.1491 0.0000 0.0000 0.0000 4.4936" Properties=species:S:1:pos:R:3 pbc="T T T"
Cr 4.0486 3.6106 0.0057
Cr 6.0740 4.8813 0.0000
Cr 3.6191 2.0666 2.2359
Cr 2.2117 0.0000 1.1135
Cr 2.2250 0.0000 3.3612
Cr 6.0740 2.2224 3.3592
Cr 8.0995 3.6106 0.0057
Cr 4.7762 0.0000 2.2285
Cr 3.6191 -2.0666 2.2359
Cr 8.5290 2.0666 2.2359
Cr 7.3719 0.0000 2.2285
Cr 4.0486 -3.6106 0.0057
Cr 6.0740 -2.2224 3.3592
Cr 9.9231 0.0000 3.3612
Cr 9.9364 0.0000 1.1135
Cr 8.5290 -2.0666 2.2359
Cr 6.0740 -4.8813 0.0000
Cr 8.0995 -3.6106 0.0057
Co 0.0000 0.0000 2.2368
Co 4.8853 4.1342 2.2424
Co 4.0910 1.2033 0.0124
Co 7.2628 4.1343 2.2424
Co 6.0740 2.2688 1.1185
Co 4.0910 -1.2033 0.0124
Co 6.0740 0.0000 4.4374
Co 8.0571 1.2033 0.0124
Co 6.0740 -2.2688 1.1185
Co 4.8853 -4.1343 2.2424
Co 8.0571 -1.2033 0.0124
Co 7.2628 -4.1342 2.2424
```

The 10 most intense peaks (15° ≤ 2θ ≤ 90°), by angle:
Position (°2θ)	I_rel
40.1	46
43.0	81
43.3	83
45.5	61
46.7	64
46.8	67
47.8	100
48.0	95
48.8	53
49.4	45

=====

No. 3
This entry pairs a crystal structure of Cr8Co7 with its computed XRD peak list. Radiation: a wavelength of 1.5418 Å. Structure: a DFT-relaxed cell (PBE, the Materials Project).
Kinematic intensities with the Lorentz-polarization factor, no thermal factor.

Atomic structure:
```
30
Lattice="8.5843 0.0000 0.0000 0.0000 8.5843 0.0000 0.0000 0.0000 4.5109" Properties=species:S:1:pos:R:3 pbc="T T T"
Cr 0.2995 3.1704 4.5093
Cr 0.8587 0.8587 0.0000
Cr 1.1217 4.5917 2.2538
Cr 1.6251 6.9592 3.3486
Cr 2.6670 2.6670 1.0931
Cr 3.1704 0.2995 4.5093
Cr 3.4335 5.1509 2.2554
Cr 3.9927 7.4626 2.2538
Cr 4.5917 1.1217 2.2538
Cr 5.1509 3.4335 2.2554
Cr 5.4139 8.2848 4.5093
Cr 5.9173 5.9173 1.0931
Cr 6.9592 1.6251 3.3486
Cr 7.4626 3.9927 2.2538
Cr 7.7256 7.7256 0.0000
Cr 8.2848 5.4139 4.5093
Co 0.0000 0.0000 2.2937
Co 0.5511 2.2473 2.2791
Co 1.5449 7.0395 1.0943
Co 2.0448 4.8433 0.0237
Co 2.2473 0.5511 2.2791
Co 2.7473 2.7473 3.3498
Co 3.7410 6.5395 0.0237
Co 4.2922 4.2922 0.0383
Co 4.8433 2.0448 0.0237
Co 5.8371 5.8371 3.3498
Co 6.3370 8.0332 2.2791
Co 6.5395 3.7410 0.0237
Co 7.0395 1.5449 1.0943
Co 8.0332 6.3370 2.2791
```

The 10 most intense peaks (15° ≤ 2θ ≤ 90°), by angle:
Position (°2θ)	I_rel
40.0	24
43.5	90
44.8	38
45.4	36
46.7	67
48.1	100
49.4	49
52.8	14
77.4	16
78.5	20

=====

No. 4
This entry pairs a crystal structure of CrCo3 with its computed XRD peak list. Radiation: a wavelength of 1.5418 Å. Structure: a DFT-relaxed cell (PBE, the Materials Project).
Kinematic intensities with the Lorentz-polarization factor, no thermal factor.

Atomic structure:
```
4
Lattice="2.5043 0.0000 0.0000 -1.2522 2.1688 0.0000 0.0000 0.0000 8.0001" Properties=species:S:1:pos:R:3 pbc="T T T"
Cr 0.0000 0.0000 0.0000
Co 0.0000 0.0000 4.0001
Co 1.2522 0.7229 1.9944
Co 1.2522 0.7229 6.0057
```

The 6 most intense peaks (15° ≤ 2θ ≤ 90°), by angle:
Position (°2θ)	I_rel
41.6	26
45.3	26
47.7	100
63.2	13
76.0	15
85.5	16